For LiNi5O3F5, a cell relaxed with GGA+U gives the calculated powder diffraction line list in this record (CuKα).
No peak broadening, texture or thermal motion is included.

Most intense lines, 10 to 80 degrees two-theta, in order of falling intensity:
- d = 2.145 Å, I = 100
- d = 2.585 Å, I = 93
- d = 4.938 Å, I = 79
- d = 2.576 Å, I = 55
- d = 1.510 Å, I = 55
- d = 2.602 Å, I = 54
- d = 5.001 Å, I = 52
- d = 1.524 Å, I = 49

Atomic structure:
a b c (Å): 6.0960 6.0960 6.0960
angles (deg): 59.38 59.38 59.38
Fractional positions:
Li1 0.0000 0.0000 0.0000
Ni1 0.1336 0.6235 0.6235
Ni2 0.2294 0.2294 0.2294
Ni3 0.6140 0.6140 0.6140
Ni4 0.6235 0.1336 0.6235
Ni5 0.6235 0.6235 0.1336
O1 0.3770 0.3770 0.8411
O2 0.3770 0.8411 0.3770
O3 0.8411 0.3770 0.3770
F1 0.3775 0.3775 0.3775
F2 0.4023 0.8620 0.8620
F3 0.8620 0.4023 0.8620
F4 0.8620 0.8620 0.4023
F5 0.8670 0.8670 0.8670